(1)
Diffraction record for RbMg16Al12. The powder diffractogram is simulated, not measured: it uses DFT lattice parameters and positions (PBE) and Cu Kα (λ = 1.5418 Å).

Top 10 peaks for 2θ from 10° to 90°, most intense first:
2θ 35.71, I = 100.0, hkl 2 3 2
2θ 35.86, I = 99.8, hkl 0 3 3
2θ 35.60, I = 91.2, hkl 3 3 0
2θ 39.53, I = 52.6, hkl 5 1 1
2θ 11.72, I = 26.2, hkl 1 1 0
2θ 64.09, I = 23.3, hkl 3 6 3
2θ 63.96, I = 22.7, hkl 1 8 2
2θ 41.43, I = 19.5, hkl 4 2 2
2θ 39.94, I = 16.5, hkl 1 0 4
2θ 64.41, I = 15.9, hkl 1 5 5

Structure:
```
data_RbMg16Al12
_cell_length_a 15.1380
_cell_length_b 15.1380
_cell_length_c 9.1669
_cell_angle_alpha 90.00
_cell_angle_beta 90.00
_cell_angle_gamma 120.00
_symmetry_space_group_name_H-M 'R 3 m'
_symmetry_Int_Tables_number 160
_symmetry_space_group_name_Hall 'R 3 -2"'
loop_
_atom_site_label
_atom_site_fract_x
_atom_site_fract_y
_atom_site_fract_z
_atom_site_occupancy
Rb1 0.0000 0.0000 0.0000 1
Mg1 0.0000 0.0000 0.3766 1
Mg2 0.0096 0.3070 0.6787 1
Mg3 0.0660 0.5330 0.5918 1
Mg4 0.2186 0.4372 0.1553 1
Mg5 0.2201 0.1101 0.8667 1
Al1 0.0625 0.1250 0.6737 1
Al2 0.0909 0.5454 0.1028 1
Al3 0.1479 0.4782 0.8611 1
```

(2)
Diffraction record for Mg16Al12Rh. The powder diffractogram is simulated, not measured: it uses DFT lattice parameters and positions (PBE) and Cu Kα (λ = 1.5418 Å).

Top 10 peaks for 2θ from 10° to 90°, most intense first:
2θ 36.72, I = 100.0, hkl 0 5 1
2θ 36.17, I = 55.8, hkl 3 0 3
2θ 36.50, I = 48.6, hkl 2 3 2
2θ 12.07, I = 47.6, hkl 1 1 0
2θ 11.88, I = 38.3, hkl 1 0 1
2θ 34.32, I = 36.5, hkl 0 4 2
2θ 40.75, I = 35.4, hkl 5 1 1
2θ 40.57, I = 30.6, hkl 5 0 2
2θ 44.04, I = 30.6, hkl 4 1 3
2θ 65.53, I = 25.7, hkl 3 5 4

Structure:
```
data_Mg16Al12Rh
_cell_length_a 14.6666
_cell_length_b 14.6666
_cell_length_c 9.1980
_cell_angle_alpha 90.00
_cell_angle_beta 90.00
_cell_angle_gamma 120.00
_symmetry_space_group_name_H-M 'R 3 m'
_symmetry_Int_Tables_number 160
_symmetry_space_group_name_Hall 'R 3 -2"'
loop_
_atom_site_label
_atom_site_fract_x
_atom_site_fract_y
_atom_site_fract_z
_atom_site_occupancy
Mg1 0.0000 0.0000 0.0000 1
Mg2 0.0173 0.3093 0.2892 1
Mg3 0.0616 0.5308 0.2008 1
Mg4 0.1733 0.0866 0.5038 1
Mg5 0.2157 0.4314 0.7702 1
Al1 0.0008 0.1809 0.8035 1
Al2 0.0635 0.1271 0.2716 1
Al3 0.0727 0.5363 0.7139 1
Rh1 0.0000 0.0000 0.7180 1
```

(3)
Diffraction record for Mg17Al11Rh. The powder diffractogram is simulated, not measured: it uses DFT lattice parameters and positions (PBE) and Cu Kα (λ = 1.5418 Å).

Top 10 peaks for 2θ from 10° to 90°, most intense first:
2θ 36.47, I = 100.0, hkl 4 2 -2
2θ 36.29, I = 94.8, hkl 4 0 -1
2θ 36.74, I = 87.6, hkl 3 3 -3
2θ 40.29, I = 54.5, hkl 3 5 -1
2θ 11.90, I = 50.4, hkl 0 2 0
2θ 12.07, I = 38.5, hkl 0 0 1
2θ 20.74, I = 32.0, hkl 1 3 -1
2θ 43.93, I = 27.3, hkl 1 7 -1
2θ 41.04, I = 26.6, hkl 3 1 -4
2θ 40.43, I = 24.2, hkl 3 5 -2

Structure:
```
data_Mg17Al11Rh
_cell_length_a 10.460
_cell_length_b 14.871
_cell_length_c 8.928
_cell_angle_alpha 90.00
_cell_angle_beta 124.86
_cell_angle_gamma 90.00
_symmetry_space_group_name_H-M 'C 1 m 1'
_symmetry_Int_Tables_number 8
loop_
_symmetry_equiv_pos_as_xyz
'x,y,z'
'x,-y,z'
'x+1/2,y+1/2,z'
'x+1/2,-y+1/2,z'
loop_
_atom_site_label
_atom_site_fract_x
_atom_site_fract_y
_atom_site_fract_z
_atom_site_occupancy
Mg1 0.000 0.000 0.000 1
Mg2 0.001 0.000 0.641 1
Mg3 0.020 0.301 0.311 1
Mg4 0.049 0.362 0.997 1
Mg5 0.115 0.500 0.279 1
Mg6 0.204 0.200 0.681 1
Mg7 0.320 0.000 0.703 1
Mg8 0.332 0.332 0.002 1
Mg9 0.342 0.345 0.384 1
Mg10 0.352 0.000 0.340 1
Mg11 0.445 0.158 0.595 1
Al1 0.001 0.182 0.810 1
Al2 0.086 0.090 0.356 1
Al3 0.144 0.500 0.833 1
Al4 0.188 0.183 0.185 1
Al5 0.227 0.408 0.630 1
Al6 0.278 0.090 0.993 1
Rh1 0.326 0.500 0.179 1
```